# 1
The following is a theoretical X-ray powder pattern of Na2In10Pb. It was derived from a structure optimized by DFT (GGA-PBE), using Cu Kα X-rays.
Neutral-atom scattering factors, no anomalous dispersion.

Main lines, most intense first (2θ from 15° to 90°):
(hkl)	2θ/deg	intensity
3 3 0	31.72	100.0
4 2 0	34.66	76.4
2 1 2	33.24	67.5
3 3 1	34.86	60.8
1 4 1	32.59	56.2
1 3 2	36.39	55.4
1 4 2	41.13	50.1
1 5 0	36.29	49.2

Structural model:
Cell: 11.3437 12.6846 6.3123 Å, 90.00 90.00 90.00°
Space group Pbam (No. 55)
Inequivalent atoms, fractional coordinates:
Na 0.1093 0.1574 0.0000
In 0.0362 0.8749 0.5000
In 0.1120 0.6902 0.2298
In 0.1745 0.3009 0.5000
In 0.2217 0.0465 0.5000
Pb 0.0000 0.5000 0.5000

---

# 2
The following is a theoretical X-ray powder pattern of Na3Ge3Pt2. It was derived from a structure optimized by DFT (GGA-PBE), using Cu Kα X-rays.
Neutral-atom scattering factors, no anomalous dispersion.

Main lines, most intense first (2θ from 15° to 90°):
(hkl)	2θ/deg	intensity
1 0 1	18.85	100.0
1 3 2	37.57	64.4
0 3 1	23.71	62.9
0 6 0	36.75	61.0
2 1 0	23.25	43.0
1 4 2	41.07	39.8
1 1 1	19.80	39.7
3 0 1	37.35	35.8

Structural model:
Cell: 7.9251 14.6702 5.8532 Å, 90.00 90.00 90.00°
Space group Pnma (No. 62)
Inequivalent atoms, fractional coordinates:
Na 0.0317 0.1142 0.1062
Na 0.1975 0.2500 0.6042
Ge 0.1557 0.7500 0.5887
Ge 0.1776 0.0432 0.6159
Pt 0.1156 0.6014 0.3960

---

# 3
The following is a theoretical X-ray powder pattern of InCo2Sb. It was derived from a structure optimized by DFT (GGA-PBE), using Cu Kα X-rays.
Neutral-atom scattering factors, no anomalous dispersion.

Main lines, most intense first (2θ from 15° to 90°):
(hkl)	2θ/deg	intensity
1 1 0	40.27	100.0
1 0 2	40.41	49.2
1 2 2	73.09	15.9
2 1 2	73.31	15.7
1 1 4	73.47	15.1
0 2 0	58.04	8.2
2 0 0	58.36	8.1
0 0 4	58.60	7.6

Structural model:
Cell: 3.1626 3.1785 6.3014 Å, 90.00 90.00 90.00°
Space group Pmmm (No. 47)
Inequivalent atoms, fractional coordinates:
In 0.0000 0.0000 0.0000
Co 0.5000 0.5000 0.2648
Sb 0.0000 0.0000 0.5000

---

# 4
The following is a theoretical X-ray powder pattern of SrH3N. It was derived from a structure optimized by DFT (GGA-PBE), using Cu Kα X-rays.
Neutral-atom scattering factors, no anomalous dispersion.

Main lines, most intense first (2θ from 15° to 90°):
(hkl)	2θ/deg	intensity
1 0 1	25.14	100.0
0 1 2	26.45	54.4
0 1 5	34.30	51.2
1 0 4	31.15	50.5
0 0 6	28.20	27.7
1 1 3	45.90	25.7
1 1 6	52.63	24.5
1 1 0	43.48	24.4

Structural model:
Cell: 4.1626 4.1626 18.9889 Å, 90.00 90.00 120.00°
Space group R3m (No. 160, hexagonal axes)
Inequivalent atoms, fractional coordinates:
Sr 0.0000 0.0000 0.0000
H 0.2028 0.4055 0.8377
N 0.0000 0.0000 0.1938

---

# 5
The following is a theoretical X-ray powder pattern of CsTl2PdCl8. It was derived from a structure optimized by DFT (GGA-PBE), using Cu Kα X-rays.
Neutral-atom scattering factors, no anomalous dispersion.

Main lines, most intense first (2θ from 15° to 90°):
(hkl)	2θ/deg	intensity
1 0 4	19.17	100.0
1 1 0	26.73	49.5
0 1 8	27.74	33.6
1 1 12	44.38	32.8
0 2 4	33.10	28.0
2 1 4	43.04	25.4
3 0 0	47.20	20.4
1 2 8	47.83	17.9

Structural model:
Cell: 6.6703 6.6703 30.9762 Å, 90.00 90.00 120.00°
Space group R32 (No. 155, hexagonal axes)
Inequivalent atoms, fractional coordinates:
Cs 0.0000 0.0000 0.0000
Tl 0.0000 0.0000 0.2452
Pd 0.0000 0.0000 0.5000
Cl 0.0000 0.0000 0.3261
Cl 0.0153 0.3106 0.5558